[1]
Calculated X-ray diffraction stick pattern
Compound: Nb3Pt
Radiation: a wavelength of 1.5418 Å
Structure: a GGA-PBE-relaxed structure

Most intense lines, 2θ = 5–70°, in order of rising 2θ:
2θ (°)	d [Å]	I/Imax
24.20	3.677	23
34.49	2.600	45
38.72	2.326	58
42.58	2.123	100
64.62	1.442	12
67.38	1.390	51

Atomic structure:
Cell: 5.2004 5.2004 5.2004 Å, 90.00 90.00 90.00°
Space group Pm-3n (No. 223)
Symmetry-distinct sites (fractional):
Nb 0.0000 0.2500 0.5000 x6
Pt 0.0000 0.0000 0.0000 x2

=====

[2]
Calculated X-ray diffraction stick pattern
Compound: Li6Cu4Rh
Radiation: a wavelength of 1.5418 Å
Structure: a GGA-PBE-relaxed structure

Most intense lines, 2θ = 5–70°, in order of rising 2θ:
2θ (°)	d [Å]	I/Imax
19.58	4.534	100
20.29	4.377	29
28.34	3.149	33
33.86	2.647	54
44.38	2.041	32
45.06	2.012	63

Atomic structure:
Cell: 6.1894 6.1894 9.0680 Å, 90.00 90.00 90.00°
Space group I-42m (No. 121)
Symmetry-distinct sites (fractional):
Li 0.0000 0.5000 0.0000 x4
Li 0.1533 0.1533 0.2396 x8
Cu 0.1917 0.1917 0.9653 x8
Rh 0.0000 0.0000 0.5000 x2

=====

[3]
Calculated X-ray diffraction stick pattern
Compound: Na2ZnSn2S6
Radiation: a wavelength of 1.5418 Å
Structure: a GGA-PBE-relaxed structure

Most intense lines, 2θ = 5–70°, in order of rising 2θ:
2θ (°)	d [Å]	I/Imax
14.22	6.227	100
14.76	6.000	28
23.93	3.718	27
26.17	3.406	35
28.67	3.114	41
29.51	3.027	34

Atomic structure:
Cell: 13.1103 24.0016 7.4058 Å, 90.00 90.00 90.00°
Space group Fdd2 (No. 43)
Symmetry-distinct sites (fractional):
Na 0.0801 0.2978 0.0000 x16
Zn 0.0000 0.0000 0.2569 x8
Sn 0.1223 0.3884 0.4858 x16
S 0.0396 0.0776 0.4399 x16
S 0.0566 0.1357 0.9264 x16
S 0.1038 0.2333 0.3255 x16

=====

[4]
Calculated X-ray diffraction stick pattern
Compound: La4Sb2TeBr
Radiation: a wavelength of 1.5418 Å
Structure: a GGA-PBE-relaxed structure

Most intense lines, 2θ = 5–70°, in order of rising 2θ:
2θ (°)	d [Å]	I/Imax
23.94	3.718	2
27.71	3.220	100
39.59	2.277	77
49.00	1.859	27
57.22	1.610	13
64.74	1.440	35

Atomic structure:
Cell: 6.4412 6.4412 12.8710 Å, 90.00 90.00 90.00°
Space group I4/mmm (No. 139)
Symmetry-distinct sites (fractional):
La 0.0000 0.0000 0.2482 x4
La 0.0000 0.5000 0.0000 x4
Sb 0.0000 0.5000 0.2500 x4
Te 0.0000 0.0000 0.0000 x2
Br 0.0000 0.0000 0.5000 x2

=====

[5]
Calculated X-ray diffraction stick pattern
Compound: Pm8Ga2Ir3
Radiation: a wavelength of 1.5418 Å
Structure: a GGA-PBE-relaxed structure

Most intense lines, 2θ = 5–70°, in order of rising 2θ:
2θ (°)	d [Å]	I/Imax
12.28	7.206	24
35.54	2.526	100
35.76	2.511	25
35.94	2.499	25
64.11	1.453	18
64.35	1.448	18

Atomic structure:
Cell: 10.0437 14.4118 4.9971 Å, 90.00 90.00 90.00°
Space group Cmmm (No. 65)
Symmetry-distinct sites (fractional):
Pm 0.0000 0.1166 0.0000 x4
Pm 0.0000 0.3805 0.0000 x4
Pm 0.2487 0.3821 0.5000 x8
Ga 0.0000 0.2431 0.5000 x4
Ir 0.0000 0.5000 0.5000 x2
Ir 0.2462 0.0000 0.0000 x4

=====

[6]
Calculated X-ray diffraction stick pattern
Compound: AcB3OsRh
Radiation: a wavelength of 1.5418 Å
Structure: a GGA-PBE-relaxed structure

Most intense lines, 2θ = 5–70°, in order of rising 2θ:
2θ (°)	d [Å]	I/Imax
29.00	3.079	40
32.13	2.786	30
33.34	2.687	100
43.82	2.066	31
54.22	1.692	26
58.05	1.589	21

Atomic structure:
Cell: 6.1587 10.6118 5.5724 Å, 90.00 90.00 90.00°
Space group Cmcm (No. 63)
Symmetry-distinct sites (fractional):
Ac 0.0000 0.2437 0.2500 x4
B 0.0000 0.2563 0.7500 x4
B 0.2487 0.0000 0.0000 x8
Os 0.0000 0.4404 0.7500 x4
Rh 0.0000 0.0676 0.7500 x4